This entry pairs a crystal structure of Tb2Ga4CuIr3 with its computed powder diffractogram. Radiation: Cu Kα. Structure: a crystal structure in Alexandria, relaxed with GGA-PBE.

Main lines, low angle first (2θ from 10° to 90°):
2θ 32.76, d 2.734, rel. 62
2θ 35.39, d 2.536, rel. 100
2θ 45.04, d 2.013, rel. 59
2θ 46.48, d 1.954, rel. 46
2θ 56.80, d 1.621, rel. 26
2θ 66.72, d 1.402, rel. 31

Atomic structure:
```
data_Tb2Ga4CuIr3
_chemical_formula_sum 'Tb2 Ga4 Cu1 Ir3'
_cell_length_a 4.0255
_cell_length_b 4.0255
_cell_length_c 11.1719
_cell_angle_alpha 90.00
_cell_angle_beta 90.00
_cell_angle_gamma 90.00
_symmetry_space_group_name_H-M 'P -4 m 2'
_symmetry_Int_Tables_number 115
_symmetry_space_group_name_Hall 'P -4 -2'
loop_
_atom_site_label
_atom_site_fract_x
_atom_site_fract_y
_atom_site_fract_z
Tb1 0.0000 0.5000 0.2447
Ga1 0.0000 0.0000 0.0000
Ga2 0.0000 0.5000 0.6320
Ga3 0.5000 0.5000 0.0000
Cu1 0.0000 0.0000 0.5000
Ir1 0.0000 0.5000 0.8571
Ir2 0.5000 0.5000 0.5000
```